# 1
For CsBe2P2HO8, the PBE geometry in the Materials Project gives the theoretical X-ray powder pattern in this record (Cu Kα (weighted mean of Kα1 and Kα2)).
Intensities are scaled so that the largest is 100.

Cell: 4.9688 10.8483 13.2576 Å, 92.96 92.86 91.04°
Sites, in units of the cell vectors:
Cs: 0.2309 0.2423 0.3279
Cs: 0.2450 0.7786 0.1557
Cs: 0.7550 0.2214 0.8443
Cs: 0.7691 0.7577 0.6721
Be: 0.1676 0.4325 0.0417
Be: 0.2246 0.9537 0.8722
Be: 0.2845 0.3315 0.6649
Be: 0.3140 0.9355 0.4627
Be: 0.6860 0.0645 0.5373
Be: 0.7155 0.6685 0.3351
Be: 0.7754 0.0463 0.1278
Be: 0.8324 0.5675 0.9583
P: 0.1896 0.0553 0.6622
P: 0.2259 0.6688 0.4545
P: 0.2727 0.1542 0.0433
P: 0.3239 0.5180 0.8424
P: 0.6761 0.4820 0.1576
P: 0.7273 0.8458 0.9567
P: 0.7741 0.3312 0.5455
P: 0.8104 0.9447 0.3378
H: 0.2370 0.5054 0.5477
H: 0.3381 0.7236 0.8464
H: 0.6619 0.2764 0.1536
H: 0.7630 0.4946 0.4523
O: 0.0741 0.3673 0.5710
O: 0.0804 0.0982 0.1167
O: 0.1035 0.9762 0.3767
O: 0.1439 0.5144 0.9361
O: 0.1953 0.2886 0.0221
O: 0.2289 0.1916 0.6970
O: 0.2286 0.4192 0.7641
O: 0.2621 0.8013 0.4997
O: 0.2695 0.9733 0.7492
O: 0.2766 0.0816 0.9405
O: 0.2792 0.6486 0.7978
O: 0.3162 0.5905 0.5483
O: 0.3709 0.0285 0.5688
O: 0.3818 0.4970 0.1216
O: 0.4035 0.6439 0.3653
O: 0.4355 0.8419 0.9049
O: 0.5645 0.1581 0.0951
O: 0.5965 0.3561 0.6347
O: 0.6182 0.5030 0.8784
O: 0.6291 0.9715 0.4312
O: 0.6838 0.4095 0.4517
O: 0.7208 0.3514 0.2022
O: 0.7234 0.9184 0.0595
O: 0.7305 0.0267 0.2508
O: 0.7379 0.1987 0.5003
O: 0.7714 0.5808 0.2359
O: 0.7711 0.8084 0.3030
O: 0.8047 0.7114 0.9779
O: 0.8561 0.4856 0.0639
O: 0.8965 0.0238 0.6233
O: 0.9196 0.9018 0.8833
O: 0.9259 0.6327 0.4290

Main lines, in order of rising 2θ (10° ≤ 2θ ≤ 90°):
16.37 deg, d = 5.416 Å, I = 30; 25.01 deg, d = 3.560 Å, I = 100; 25.97 deg, d = 3.431 Å, I = 53; 27.46 deg, d = 3.248 Å, I = 90; 27.83 deg, d = 3.205 Å, I = 69; 28.58 deg, d = 3.123 Å, I = 66; 28.79 deg, d = 3.101 Å, I = 24; 29.39 deg, d = 3.039 Å, I = 42; 36.21 deg, d = 2.481 Å, I = 39; 36.49 deg, d = 2.463 Å, I = 26

# 2
For LaYCo10, the PBE geometry in the Materials Project gives the theoretical X-ray powder pattern in this record (Cu Kα (weighted mean of Kα1 and Kα2)).
Intensities are scaled so that the largest is 100.

Cell: 2.5638 8.8759 8.4073 Å, 90.00 90.00 90.00°
Sites, in units of the cell vectors:
La: 0.0000 0.0000 0.0000
Y: 0.0000 0.5000 0.6253
Co: 0.0000 0.0000 0.3657
Co: 0.0000 0.1296 0.6383
Co: 0.0000 0.2602 0.4095
Co: 0.0000 0.2730 0.1455
Co: 0.0000 0.2796 0.8558
Co: 0.0000 0.5000 0.0153
Co: 0.0000 0.7204 0.8558
Co: 0.0000 0.7270 0.1455
Co: 0.0000 0.7398 0.4095
Co: 0.0000 0.8704 0.6383

Main lines, in order of rising 2θ (10° ≤ 2θ ≤ 90°):
29.26 deg, d = 3.052 Å, I = 27; 32.07 deg, d = 2.791 Å, I = 27; 35.00 deg, d = 2.564 Å, I = 100; 37.16 deg, d = 2.419 Å, I = 21; 37.97 deg, d = 2.369 Å, I = 60; 40.66 deg, d = 2.219 Å, I = 27; 46.25 deg, d = 1.963 Å, I = 24; 48.18 deg, d = 1.889 Å, I = 22; 52.59 deg, d = 1.740 Å, I = 47; 54.71 deg, d = 1.678 Å, I = 22

# 3
For Li2SnP2O7, the PBE geometry in the Materials Project gives the theoretical X-ray powder pattern in this record (Cu Kα (weighted mean of Kα1 and Kα2)).
Intensities are scaled so that the largest is 100.

Cell: 5.3713 7.0201 8.9456 Å, 108.20 93.25 110.70°
Sites, in units of the cell vectors:
Li: 0.1015 0.3213 0.0027
Li: 0.3568 0.6191 0.7712
Li: 0.6432 0.3809 0.2288
Li: 0.8985 0.6787 0.9973
Sn: 0.1350 0.1241 0.3516
Sn: 0.8650 0.8759 0.6484
P: 0.2359 0.6152 0.3561
P: 0.4798 0.8427 0.1447
P: 0.5202 0.1573 0.8553
P: 0.7641 0.3848 0.6439
O: 0.0206 0.3564 0.6916
O: 0.2188 0.0778 0.8685
O: 0.2351 0.3905 0.2441
O: 0.2988 0.6371 0.0059
O: 0.3248 0.6592 0.5321
O: 0.3666 0.0221 0.1685
O: 0.4826 0.7943 0.3116
O: 0.5174 0.2057 0.6884
O: 0.6334 0.9779 0.8315
O: 0.6752 0.3408 0.4679
O: 0.7012 0.3629 0.9941
O: 0.7649 0.6095 0.7559
O: 0.7812 0.9222 0.1315
O: 0.9794 0.6436 0.3084

Main lines, in order of rising 2θ (10° ≤ 2θ ≤ 90°):
10.60 deg, d = 8.347 Å, I = 53; 14.43 deg, d = 6.137 Å, I = 36; 21.06 deg, d = 4.219 Å, I = 46; 21.93 deg, d = 4.053 Å, I = 32; 22.59 deg, d = 3.936 Å, I = 100; 25.22 deg, d = 3.531 Å, I = 41; 27.58 deg, d = 3.235 Å, I = 53; 29.36 deg, d = 3.042 Å, I = 68; 32.12 deg, d = 2.787 Å, I = 57; 33.42 deg, d = 2.681 Å, I = 30

# 4
For Zr5Sn3B, the PBE geometry in the Materials Project gives the theoretical X-ray powder pattern in this record (Cu Kα (weighted mean of Kα1 and Kα2)).
Intensities are scaled so that the largest is 100.

Cell: 8.5782 8.5782 5.8373 Å, 90.00 90.00 120.00°
Sites, in units of the cell vectors:
Zr: 0.0000 0.2299 0.2500
Zr: 0.0000 0.7701 0.7500
Zr: 0.2299 0.0000 0.2500
Zr: 0.2299 0.2299 0.7500
Zr: 0.3333 0.6667 0.0000
Zr: 0.3333 0.6667 0.5000
Zr: 0.6667 0.3333 0.0000
Zr: 0.6667 0.3333 0.5000
Zr: 0.7701 0.0000 0.7500
Zr: 0.7701 0.7701 0.2500
Sn: 0.0000 0.3979 0.7500
Sn: 0.0000 0.6021 0.2500
Sn: 0.3979 0.0000 0.7500
Sn: 0.3979 0.3979 0.2500
Sn: 0.6021 0.0000 0.2500
Sn: 0.6021 0.6021 0.7500
B: 0.0000 0.0000 0.0000
B: 0.0000 0.0000 0.5000

Main lines, in order of rising 2θ (10° ≤ 2θ ≤ 90°):
30.63 deg, d = 2.919 Å, I = 19; 31.87 deg, d = 2.808 Å, I = 25; 35.48 deg, d = 2.530 Å, I = 100; 36.28 deg, d = 2.476 Å, I = 33; 37.26 deg, d = 2.413 Å, I = 60; 45.04 deg, d = 2.013 Å, I = 13; 46.75 deg, d = 1.943 Å, I = 15; 52.99 deg, d = 1.728 Å, I = 13; 57.64 deg, d = 1.599 Å, I = 24; 71.21 deg, d = 1.324 Å, I = 22

# 5
For Zn2As2O7, the PBE geometry in the Materials Project gives the theoretical X-ray powder pattern in this record (Cu Kα (weighted mean of Kα1 and Kα2)).
Intensities are scaled so that the largest is 100.

Cell: 5.4809 5.4809 4.8634 Å, 98.85 98.85 103.86°
Sites, in units of the cell vectors:
Zn: 0.1927 0.8073 0.0000
Zn: 0.8073 0.1927 0.0000
As: 0.2685 0.2685 0.5979
As: 0.7315 0.7315 0.4021
O: 0.0935 0.0935 0.2734
O: 0.1022 0.4341 0.7897
O: 0.4341 0.1022 0.7897
O: 0.5000 0.5000 0.5000
O: 0.5659 0.8978 0.2103
O: 0.8978 0.5659 0.2103
O: 0.9065 0.9065 0.7266

Main lines, in order of rising 2θ (10° ≤ 2θ ≤ 90°):
27.94 deg, d = 3.194 Å, I = 47; 28.05 deg, d = 3.181 Å, I = 100; 29.08 deg, d = 3.071 Å, I = 57; 34.04 deg, d = 2.633 Å, I = 13; 34.39 deg, d = 2.608 Å, I = 32; 42.40 deg, d = 2.132 Å, I = 13; 46.54 deg, d = 1.951 Å, I = 17; 54.85 deg, d = 1.674 Å, I = 24; 60.29 deg, d = 1.535 Å, I = 13; 66.16 deg, d = 1.412 Å, I = 15

# 6
For PaAgTe2, the PBE geometry in the Materials Project gives the theoretical X-ray powder pattern in this record (Cu Kα (weighted mean of Kα1 and Kα2)).
Intensities are scaled so that the largest is 100.

Cell: 5.2645 5.2645 5.2645 Å, 60.00 60.00 60.00°
Sites, in units of the cell vectors:
Pa: 0.0000 0.0000 0.0000
Ag: 0.5000 0.5000 0.5000
Te: 0.2500 0.2500 0.2500
Te: 0.7500 0.7500 0.7500

Main lines, in order of rising 2θ (10° ≤ 2θ ≤ 90°):
20.66 deg, d = 4.298 Å, I = 8; 23.90 deg, d = 3.723 Å, I = 3; 34.06 deg, d = 2.632 Å, I = 100; 40.17 deg, d = 2.245 Å, I = 5; 48.94 deg, d = 1.861 Å, I = 18; 53.66 deg, d = 1.708 Å, I = 2; 60.96 deg, d = 1.520 Å, I = 37; 71.71 deg, d = 1.316 Å, I = 11; 75.55 deg, d = 1.258 Å, I = 2; 81.82 deg, d = 1.177 Å, I = 16

# 7
For CrAgSnSe2S2, the PBE geometry in the Materials Project gives the theoretical X-ray powder pattern in this record (Cu Kα (weighted mean of Kα1 and Kα2)).
Intensities are scaled so that the largest is 100.

Cell: 7.6746 7.6746 7.6746 Å, 120.63 119.10 90.24°
Sites, in units of the cell vectors:
Cr: 0.0000 0.2408 0.2408
Cr: 0.0000 0.7592 0.7592
Ag: 0.3878 0.3878 0.0000
Ag: 0.6234 0.1234 0.5000
Sn: 0.0019 0.7593 0.2426
Sn: 0.5166 0.7593 0.7574
Se: 0.2224 0.5077 0.7148
Se: 0.2349 0.4927 0.2577
Se: 0.2349 0.9772 0.7423
Se: 0.7929 0.5077 0.2852
S: 0.2105 0.9990 0.2115
S: 0.7751 0.0130 0.2379
S: 0.7751 0.5373 0.7621
S: 0.7875 0.9990 0.7885

Main lines, in order of rising 2θ (10° ≤ 2θ ≤ 90°):
23.18 deg, d = 3.837 Å, I = 41; 23.41 deg, d = 3.801 Å, I = 23; 27.04 deg, d = 3.298 Å, I = 79; 27.36 deg, d = 3.259 Å, I = 82; 32.95 deg, d = 2.718 Å, I = 46; 43.05 deg, d = 2.101 Å, I = 28; 43.41 deg, d = 2.084 Å, I = 55; 46.71 deg, d = 1.945 Å, I = 25; 47.39 deg, d = 1.918 Å, I = 100; 47.87 deg, d = 1.900 Å, I = 27

# 8
For MgV4S8, the PBE geometry in the Materials Project gives the theoretical X-ray powder pattern in this record (Cu Kα (weighted mean of Kα1 and Kα2)).
Intensities are scaled so that the largest is 100.

Cell: 7.4448 7.4448 7.4448 Å, 51.95 51.95 51.95°
Sites, in units of the cell vectors:
Mg: 0.0000 0.0000 0.0000
V: 0.0000 0.0000 0.5000
V: 0.0000 0.5000 0.0000
V: 0.5000 0.0000 0.0000
V: 0.5000 0.5000 0.5000
S: 0.2411 0.2411 0.2411
S: 0.2431 0.7425 0.7425
S: 0.2575 0.2575 0.7569
S: 0.2575 0.7569 0.2575
S: 0.7425 0.2431 0.7425
S: 0.7425 0.7425 0.2431
S: 0.7569 0.2575 0.2575
S: 0.7589 0.7589 0.7589

Main lines, in order of rising 2θ (10° ≤ 2θ ≤ 90°):
13.79 deg, d = 6.422 Å, I = 83; 32.03 deg, d = 2.794 Å, I = 17; 36.90 deg, d = 2.436 Å, I = 100; 46.05 deg, d = 1.971 Å, I = 15; 49.76 deg, d = 1.832 Å, I = 36; 56.44 deg, d = 1.630 Å, I = 26; 58.40 deg, d = 1.580 Å, I = 9; 69.35 deg, d = 1.355 Å, I = 13; 78.53 deg, d = 1.218 Å, I = 9; 84.73 deg, d = 1.144 Å, I = 13